Simulated XRD peak list of Na7Cu12S10 for Cu Kα (weighted mean of Kα1 and Kα2), from a DFT-relaxed cell (GGA-PBE, the Materials Project).
Kinematic intensities with the Lorentz-polarization factor, no thermal factor.

Cell and atoms:
```
data_Na7Cu12S10
_chemical_formula_sum 'Na14 Cu24 S20'
_cell_length_a 16.162
_cell_length_b 3.787
_cell_length_c 16.229
_cell_angle_alpha 90.00
_cell_angle_beta 90.37
_cell_angle_gamma 90.00
_space_group_name_H-M_alt 'P 1'
_space_group_IT_number 1
loop_
_space_group_symop_operation_xyz
'x,y,z'
loop_
_atom_site_label
_atom_site_type_symbol
_atom_site_fract_x
_atom_site_fract_y
_atom_site_fract_z
Na1 Na 0.000 0.000 0.000
Na2 Na 0.106 0.500 0.696
Na3 Na 0.185 0.500 0.896
Na4 Na 0.219 0.000 0.407
Na5 Na 0.297 0.000 0.607
Na6 Na 0.302 0.500 0.085
Na7 Na 0.381 0.500 0.291
Na8 Na 0.500 0.000 0.000
Na9 Na 0.619 0.500 0.709
Na10 Na 0.698 0.500 0.915
Na11 Na 0.703 0.000 0.393
Na12 Na 0.781 0.000 0.593
Na13 Na 0.815 0.500 0.104
Na14 Na 0.894 0.500 0.304
Cu1 Cu 0.009 0.000 0.420
Cu2 Cu 0.024 0.500 0.153
Cu3 Cu 0.053 0.000 0.267
Cu4 Cu 0.088 0.500 0.499
Cu5 Cu 0.151 0.000 0.134
Cu6 Cu 0.176 0.500 0.248
Cu7 Cu 0.313 0.000 0.806
Cu8 Cu 0.388 0.500 0.893
Cu9 Cu 0.413 0.500 0.722
Cu10 Cu 0.426 0.000 0.449
Cu11 Cu 0.454 0.500 0.566
Cu12 Cu 0.487 0.000 0.803
Cu13 Cu 0.513 0.000 0.197
Cu14 Cu 0.546 0.500 0.434
Cu15 Cu 0.574 0.000 0.551
Cu16 Cu 0.587 0.500 0.278
Cu17 Cu 0.612 0.500 0.107
Cu18 Cu 0.687 0.000 0.194
Cu19 Cu 0.824 0.500 0.752
Cu20 Cu 0.849 0.000 0.866
Cu21 Cu 0.912 0.500 0.501
Cu22 Cu 0.947 0.000 0.733
Cu23 Cu 0.976 0.500 0.847
Cu24 Cu 0.991 0.000 0.580
S1 S 0.056 0.000 0.825
S2 S 0.078 0.500 0.354
S3 S 0.127 0.500 0.058
S4 S 0.130 0.000 0.562
S5 S 0.257 0.000 0.232
S6 S 0.274 0.500 0.737
S7 S 0.326 0.000 0.947
S8 S 0.347 0.500 0.471
S9 S 0.471 0.500 0.136
S10 S 0.478 0.000 0.656
S11 S 0.522 0.000 0.344
S12 S 0.529 0.500 0.864
S13 S 0.653 0.500 0.529
S14 S 0.674 0.000 0.053
S15 S 0.726 0.500 0.263
S16 S 0.743 0.000 0.768
S17 S 0.870 0.000 0.438
S18 S 0.873 0.500 0.942
S19 S 0.922 0.500 0.646
S20 S 0.944 0.000 0.175
```

Peak list (10 most intense, 15 to 90 degrees two-theta, by angle)
2θ = 15.42°, d 5.745, I = 413, (2 0 -2); 2θ = 16.39°, d 5.409, I = 821, (0 0 3); 2θ = 36.45°, d 2.465, I = 943, (0 1 5); 2θ = 36.58°, d 2.457, I = 688, (4 1 3); 2θ = 38.30°, d 2.350, I = 1000, (5 1 2); 2θ = 41.37°, d 2.182, I = 659, (1 1 -6); 2θ = 44.38°, d 2.041, I = 383, (3 1 -6); 2θ = 46.25°, d 1.963, I = 973, (1 1 7); 2θ = 46.41°, d 1.956, I = 882, (5 1 5); 2θ = 48.05°, d 1.894, I = 990, (0 2 0)